1.
The following is a theoretical powder diffractogram of TbNpF6. It was derived from a structure optimized by DFT (GGA-PBE), using copper Kα.

Cell and atoms:
a b c (Å): 5.457 5.457 8.072
angles (deg): 90.00 90.00 90.00
Space group P4_2/m (No. 84)
Symmetry-distinct sites (fractional):
Tb 0.000 0.000 0.250 [2 per cell]
Np 0.500 0.500 0.000 [2 per cell]
F 0.158 0.806 0.000 [4 per cell]
F 0.241 0.690 0.318 [8 per cell]

Largest 10 diffraction maxima, by angle, 2θ from 5° to 70°:
hkl 1 1 0, 23.05°, d 3.858, intensity 91.8; hkl 1 0 2, 27.49°, d 3.245, intensity 100.0; hkl 2 0 0, 32.83°, d 2.728, intensity 21.2; hkl 2 1 2, 43.33°, d 2.088, intensity 76.0; hkl 2 2 0, 47.11°, d 1.929, intensity 18.5; hkl 1 1 4, 51.08°, d 1.788, intensity 22.4; hkl 1 3 0, 53.07°, d 1.726, intensity 18.3; hkl 3 0 2, 55.41°, d 1.658, intensity 21.4; hkl 2 0 4, 56.74°, d 1.622, intensity 14.9; hkl 3 2 2, 65.92°, d 1.417, intensity 17.0



2.
The following is a theoretical powder diffractogram of NpTl2F6. It was derived from a structure optimized by DFT (GGA-PBE), using copper Kα.

Cell and atoms:
a b c (Å): 7.102 12.165 7.612
angles (deg): 90.00 90.00 90.00
Space group Cmcm (No. 63)
Symmetry-distinct sites (fractional):
Np 0.000 0.046 0.250 [4 per cell]
Tl 0.000 0.340 0.002 [8 per cell]
F 0.000 0.102 0.542 [8 per cell]
F 0.190 0.197 0.250 [8 per cell]
F 0.210 0.485 0.250 [8 per cell]

Largest 10 diffraction maxima, by angle, 2θ from 5° to 70°:
hkl 0 2 1, 18.63°, d 4.763, intensity 16.8; hkl 2 0 0, 25.08°, d 3.551, intensity 51.3; hkl 1 3 0, 25.29°, d 3.522, intensity 70.5; hkl 1 1 2, 27.60°, d 3.232, intensity 100.0; hkl 2 2 2, 37.67°, d 2.388, intensity 22.9; hkl 0 4 2, 37.87°, d 2.376, intensity 17.3; hkl 3 3 0, 44.31°, d 2.044, intensity 21.5; hkl 3 1 2, 45.75°, d 1.983, intensity 20.8; hkl 2 4 2, 45.96°, d 1.975, intensity 16.7; hkl 1 3 4, 54.83°, d 1.674, intensity 18.4



3.
The following is a theoretical powder diffractogram of TmNpF6. It was derived from a structure optimized by DFT (GGA-PBE), using copper Kα.

Cell and atoms:
a b c (Å): 5.8872 5.8872 15.9456
angles (deg): 90.00 90.00 120.00
Space group R-3 (No. 148, hexagonal axes)
Symmetry-distinct sites (fractional):
Tm 0.0000 0.0000 0.0000 [3 per cell]
Np 0.0000 0.0000 0.5000 [3 per cell]
F 0.0118 0.4136 0.7467 [18 per cell]

Largest 10 diffraction maxima, by angle, 2θ from 5° to 70°:
hkl 0 1 2, 20.68°, d 4.295, intensity 100.0; hkl 1 0 4, 28.42°, d 3.140, intensity 34.8; hkl 1 1 0, 30.37°, d 2.944, intensity 25.7; hkl 2 0 2, 37.02°, d 2.428, intensity 13.7; hkl 0 2 4, 42.07°, d 2.148, intensity 19.4; hkl 2 -1 6, 46.01°, d 1.973, intensity 27.5; hkl 3 -2 2, 48.61°, d 1.873, intensity 19.8; hkl 3 -1 4, 52.76°, d 1.735, intensity 14.2; hkl 3 0 0, 53.95°, d 1.699, intensity 8.7; hkl 4 -1 2, 67.24°, d 1.392, intensity 8.8



4.
The following is a theoretical powder diffractogram of YNpF6. It was derived from a structure optimized by DFT (GGA-PBE), using copper Kα.

Cell and atoms:
a b c (Å): 5.440 5.440 8.078
angles (deg): 90.00 90.00 90.00
Space group P4_2/m (No. 84)
Symmetry-distinct sites (fractional):
Y 0.000 0.000 0.250 [2 per cell]
Np 0.500 0.500 0.000 [2 per cell]
F 0.158 0.805 0.000 [4 per cell]
F 0.239 0.689 0.318 [8 per cell]

Largest 10 diffraction maxima, by angle, 2θ from 5° to 70°:
hkl 1 0 0, 16.29°, d 5.440, intensity 32.7; hkl 1 1 0, 23.12°, d 3.847, intensity 94.5; hkl 1 0 2, 27.50°, d 3.243, intensity 100.0; hkl 1 1 2, 32.13°, d 2.786, intensity 17.0; hkl 2 0 0, 32.93°, d 2.720, intensity 19.0; hkl 2 1 2, 43.42°, d 2.084, intensity 78.6; hkl 2 2 0, 47.26°, d 1.923, intensity 19.7; hkl 1 1 4, 51.08°, d 1.788, intensity 22.9; hkl 1 3 0, 53.24°, d 1.720, intensity 18.4; hkl 3 0 2, 55.55°, d 1.654, intensity 22.5



5.
The following is a theoretical powder diffractogram of OF4. It was derived from a structure optimized by DFT (GGA-PBE), using copper Kα.

Cell and atoms:
a b c (Å): 8.483 4.406 8.455
angles (deg): 90.00 117.88 90.00
Space group C2/c (No. 15)
Symmetry-distinct sites (fractional):
O 0.000 0.182 0.250 [4 per cell]
F 0.115 0.394 0.191 [8 per cell]
F 0.135 0.029 0.920 [8 per cell]

Largest 10 diffraction maxima, by angle, 2θ from 5° to 70°:
hkl 1 1 -1, 23.62°, d 3.766, intensity 30.8; hkl 0 0 2, 23.79°, d 3.741, intensity 35.8; hkl 2 0 -2, 24.54°, d 3.627, intensity 32.3; hkl 1 1 1, 28.77°, d 3.103, intensity 77.4; hkl 1 1 2, 37.55°, d 2.395, intensity 80.4; hkl 3 1 -2, 38.52°, d 2.337, intensity 100.0; hkl 2 0 -4, 42.80°, d 2.113, intensity 32.6; hkl 1 1 3, 48.19°, d 1.889, intensity 17.2; hkl 4 0 0, 48.56°, d 1.875, intensity 15.2; hkl 4 2 -1, 61.64°, d 1.505, intensity 11.9



6.
The following is a theoretical powder diffractogram of O4F. It was derived from a structure optimized by DFT (GGA-PBE), using copper Kα.

Cell and atoms:
a b c (Å): 4.317 2.654 6.000
angles (deg): 90.00 109.85 90.00
Space group P2/m (No. 10)
Symmetry-distinct sites (fractional):
O 0.133 0.000 0.361 [2 per cell]
O 0.309 0.500 0.701 [2 per cell]
F 0.500 0.500 0.000 [1 per cell]

Largest 10 diffraction maxima, by angle, 2θ from 5° to 70°:
hkl 0 0 1, 15.70°, d 5.643, intensity 22.5; hkl 1 0 -1, 22.21°, d 4.002, intensity 100.0; hkl 0 1 1, 37.44°, d 2.402, intensity 24.5; hkl 1 1 0, 40.61°, d 2.222, intensity 56.6; hkl 1 1 -1, 40.79°, d 2.212, intensity 48.0; hkl 2 0 -1, 41.87°, d 2.158, intensity 50.1; hkl 1 1 1, 46.63°, d 1.948, intensity 24.5; hkl 1 1 -2, 47.13°, d 1.928, intensity 14.1; hkl 0 0 3, 48.39°, d 1.881, intensity 28.6; hkl 2 1 -2, 57.69°, d 1.598, intensity 17.4